Record 1
# Cs3Rb3Cd
Calculated powder diffractogram, Cu Kα X-rays. Input: a DFT-relaxed cell (GGA-PBE, Alexandria).
Kinematic intensities with the Lorentz-polarization factor, no thermal factor.

```
14
Lattice="15.487 0.000 0.000 -7.744 13.412 0.000 0.000 0.000 6.030" Properties=species:S:1:pos:R:3 pbc="T T T"
Cs 0.000 4.444 1.508
Cs -3.895 11.190 1.508
Cs 3.848 2.222 4.523
Cs 3.895 11.190 1.508
Cs 11.639 2.222 4.523
Cs 7.744 8.968 4.523
Rb -2.314 7.605 4.523
Rb 2.314 7.605 4.523
Rb 0.000 11.614 4.523
Rb 7.744 1.798 1.508
Rb 5.429 5.807 1.508
Rb 10.058 5.807 1.508
Cd 0.000 8.941 1.508
Cd 7.744 4.471 4.523
```

Most intense lines, 10 to 90 degrees two-theta, sorted by position:
two_theta, intensity
19.81, 38
22.93, 100
29.63, 15
37.82, 16
38.51, 26
46.87, 20



Record 2
# Cs2RbCd2
Calculated powder diffractogram, Cu Kα X-rays. Input: a DFT-relaxed cell (GGA-PBE, Alexandria).
Kinematic intensities with the Lorentz-polarization factor, no thermal factor.

```
10
Lattice="10.087 0.000 0.000 0.000 10.087 0.000 0.000 0.000 5.804" Properties=species:S:1:pos:R:3 pbc="T T T"
Cs 1.766 3.277 0.000
Cs 3.277 8.321 0.000
Cs 6.810 1.766 0.000
Cs 8.321 6.810 0.000
Rb 0.000 0.000 2.902
Rb 5.043 5.043 2.902
Cd 1.079 6.122 2.902
Cd 3.965 1.079 2.902
Cd 6.122 9.008 2.902
Cd 9.008 3.965 2.902
```

Most intense lines, 10 to 90 degrees two-theta, sorted by position:
two_theta, intensity
23.37, 43
25.00, 100
27.97, 26
30.81, 21
42.10, 17
48.65, 28



Record 3
# Cs2RbCd9
Calculated powder diffractogram, Cu Kα X-rays. Input: a DFT-relaxed cell (GGA-PBE, Alexandria).
Kinematic intensities with the Lorentz-polarization factor, no thermal factor.

```
12
Lattice="6.468 -3.117 0.000 6.468 3.117 0.000 -6.063 0.000 10.106" Properties=species:S:1:pos:R:3 pbc="T T T"
Cs -0.742 0.000 4.230
Cs 7.616 0.000 5.876
Rb 0.000 0.000 0.000
Cd 2.653 1.554 2.489
Cd 3.985 0.000 0.225
Cd 0.356 0.000 8.223
Cd 4.221 1.554 7.617
Cd 3.437 0.000 5.053
Cd 2.653 -1.554 2.489
Cd 6.517 0.000 1.883
Cd 2.889 0.000 9.881
Cd 4.221 -1.554 7.617
```

Most intense lines, 10 to 90 degrees two-theta, sorted by position:
two_theta, intensity
25.37, 58
27.41, 80
28.65, 65
28.84, 60
33.04, 100
33.78, 90



Record 4
# CsRbCd17
Calculated powder diffractogram, Cu Kα X-rays. Input: a DFT-relaxed cell (GGA-PBE, Alexandria).
Kinematic intensities with the Lorentz-polarization factor, no thermal factor.

```
19
Lattice="5.287 3.053 5.157 -5.287 3.053 5.157 0.000 -6.105 5.157" Properties=species:S:1:pos:R:3 pbc="T T T"
Cs 0.000 0.000 0.000
Rb 0.000 0.000 10.622
Cd -1.556 -2.676 5.326
Cd -3.095 -0.010 5.326
Cd -2.610 -1.507 8.139
Cd 0.000 0.000 3.825
Cd 0.000 -3.068 7.901
Cd -2.657 1.534 7.901
Cd 1.556 -2.676 5.326
Cd -1.539 2.685 5.326
Cd 0.000 0.000 6.863
Cd -2.634 -1.521 12.817
Cd 3.095 -0.010 5.326
Cd 1.539 2.685 5.326
Cd 2.610 -1.507 8.139
Cd 0.000 3.014 8.139
Cd 2.657 1.534 7.901
Cd 2.634 -1.521 12.817
Cd 0.000 3.041 12.817
```

Most intense lines, 10 to 90 degrees two-theta, sorted by position:
two_theta, intensity
29.26, 30
30.25, 31
33.91, 66
34.13, 100
34.79, 49
38.26, 87



Record 5
# CsRbCdSe2
Calculated powder diffractogram, Cu Kα X-rays. Input: a DFT-relaxed cell (GGA-PBE, Alexandria).
Kinematic intensities with the Lorentz-polarization factor, no thermal factor.

```
10
Lattice="6.240 0.000 0.000 0.000 8.430 0.000 0.000 0.000 7.344" Properties=species:S:1:pos:R:3 pbc="T T T"
Cs 1.560 0.000 1.465
Cs 4.680 0.000 5.879
Rb 1.560 4.215 3.096
Rb 4.680 4.215 4.248
Cd 0.000 4.215 0.000
Cd 3.120 4.215 0.000
Se 1.560 2.337 5.957
Se 1.560 6.093 5.957
Se 4.680 2.337 1.387
Se 4.680 6.093 1.387
```

Most intense lines, 10 to 90 degrees two-theta, sorted by position:
two_theta, intensity
10.49, 25
12.05, 36
26.48, 37
28.29, 100
32.95, 33
37.88, 39



Record 6
# CsCd3Rh
Calculated powder diffractogram, Cu Kα X-rays. Input: a DFT-relaxed cell (GGA-PBE, Alexandria).
Kinematic intensities with the Lorentz-polarization factor, no thermal factor.

```
5
Lattice="3.291 0.000 0.000 0.000 3.401 6.221 0.000 -3.401 6.221" Properties=species:S:1:pos:R:3 pbc="T T T"
Cs 0.000 0.000 0.000
Cd 0.000 0.000 4.683
Cd 1.645 -1.518 9.102
Cd 1.645 1.518 9.102
Rh 1.645 0.000 6.893
```

Most intense lines, 10 to 90 degrees two-theta, sorted by position:
two_theta, intensity
29.94, 100
30.74, 63
31.03, 45
37.30, 47
38.05, 35
53.87, 46



Record 7
# CsCd2Ru
Calculated powder diffractogram, Cu Kα X-rays. Input: a DFT-relaxed cell (GGA-PBE, Alexandria).
Kinematic intensities with the Lorentz-polarization factor, no thermal factor.

```
8
Lattice="-3.002 3.002 8.790 3.002 -3.002 8.790 3.002 3.002 -8.790" Properties=species:S:1:pos:R:3 pbc="T T T"
Cs 0.000 0.000 0.000
Cs 0.000 3.002 4.395
Cd 1.501 2.995 -2.197
Cd 3.008 1.501 2.197
Cd 1.501 0.007 6.592
Cd -0.007 1.501 10.987
Ru 3.002 0.000 4.395
Ru 0.000 0.000 8.790
```

Most intense lines, 10 to 90 degrees two-theta, sorted by position:
two_theta, intensity
15.60, 44
21.19, 41
23.27, 100
31.50, 45
36.24, 31
47.58, 56



Record 8
# Cs3UCd2S6
Calculated powder diffractogram, Cu Kα X-rays. Input: a DFT-relaxed cell (GGA-PBE, Alexandria).
Kinematic intensities with the Lorentz-polarization factor, no thermal factor.

```
12
Lattice="7.760 0.000 0.000 -3.880 6.720 0.000 0.000 0.000 9.037" Properties=species:S:1:pos:R:3 pbc="T T T"
Cs 0.000 0.000 0.000
Cs 0.000 4.480 6.431
Cs 3.880 2.240 2.607
U 0.000 0.000 4.519
Cd 0.000 4.480 2.872
Cd 3.880 2.240 6.166
S 0.000 2.042 2.848
S -2.111 5.699 2.848
S 1.769 1.021 6.189
S 2.111 5.699 2.848
S 5.991 1.021 6.189
S 3.880 4.678 6.189
```

Most intense lines, 10 to 90 degrees two-theta, sorted by position:
two_theta, intensity
22.92, 100
23.73, 79
33.23, 49
40.24, 36
40.75, 46
46.82, 35



Record 9
# CsZnCdS2
Calculated powder diffractogram, Cu Kα X-rays. Input: a DFT-relaxed cell (GGA-PBE, Alexandria).
Kinematic intensities with the Lorentz-polarization factor, no thermal factor.

```
10
Lattice="3.169 -7.328 0.000 3.169 7.328 0.000 0.000 0.000 6.575" Properties=species:S:1:pos:R:3 pbc="T T T"
Cs 3.169 3.664 4.932
Cs 3.169 -3.664 1.644
Zn 0.000 0.000 0.000
Zn 3.169 0.000 0.000
Cd 1.585 0.000 3.288
Cd 4.754 0.000 3.288
S 3.169 5.789 1.902
S 3.169 1.539 1.902
S 3.169 -1.539 4.673
S 3.169 -5.789 4.673
```

Most intense lines, 10 to 90 degrees two-theta, sorted by position:
two_theta, intensity
20.38, 40
24.29, 57
26.73, 100
29.78, 94
33.69, 50
46.30, 38



Record 10
# CsCdSb2
Calculated powder diffractogram, Cu Kα X-rays. Input: a DFT-relaxed cell (GGA-PBE, Alexandria).
Kinematic intensities with the Lorentz-polarization factor, no thermal factor.

```
8
Lattice="0.000 15.064 3.128 3.323 0.000 3.128 3.323 15.064 0.000" Properties=species:S:1:pos:R:3 pbc="T T T"
Cs 3.323 3.418 3.128
Cs 3.323 26.711 3.128
Cd 1.661 7.532 1.563
Cd 4.984 22.597 4.691
Sb 4.732 15.064 1.989
Sb 3.323 9.397 3.127
Sb 1.913 15.064 1.989
Sb 3.323 20.732 3.127
```

Most intense lines, 10 to 90 degrees two-theta, sorted by position:
two_theta, intensity
11.75, 29
23.62, 23
24.50, 100
29.38, 63
30.95, 50
39.57, 46



Record 11
# Cs5CdSb2
Calculated powder diffractogram, Cu Kα X-rays. Input: a DFT-relaxed cell (GGA-PBE, Alexandria).
Kinematic intensities with the Lorentz-polarization factor, no thermal factor.

```
8
Lattice="3.373 1.947 10.489 -3.373 1.947 10.489 0.000 -3.895 10.489" Properties=species:S:1:pos:R:3 pbc="T T T"
Cs 0.000 0.000 0.000
Cs 0.000 0.000 4.136
Cs 0.000 0.000 8.855
Cs 0.000 0.000 22.612
Cs 0.000 0.000 27.331
Cd 0.000 0.000 15.733
Sb 0.000 0.000 12.939
Sb 0.000 0.000 18.528
```

Most intense lines, 10 to 90 degrees two-theta, sorted by position:
two_theta, intensity
24.99, 51
26.43, 100
27.33, 17
36.69, 19
45.78, 20
46.64, 21



Record 12
# Cs4Cd5Sb6
Calculated powder diffractogram, Cu Kα X-rays. Input: a DFT-relaxed cell (GGA-PBE, Alexandria).
Kinematic intensities with the Lorentz-polarization factor, no thermal factor.

```
30
Lattice="2.402 -12.508 0.000 2.402 12.508 0.000 0.000 0.000 20.575" Properties=species:S:1:pos:R:3 pbc="T T T"
Cs 2.402 12.321 10.288
Cs 2.402 11.778 5.552
Cs 2.402 8.723 15.197
Cs 2.402 7.655 2.545
Cs 2.402 -7.655 12.833
Cs 2.402 -8.723 4.909
Cs 2.402 -11.778 15.840
Cs 2.402 -12.321 0.000
Cd 2.402 8.699 8.655
Cd 2.402 5.617 9.130
Cd 2.402 4.594 16.932
Cd 2.402 3.330 0.732
Cd 2.402 2.805 10.282
Cd 2.402 -2.805 20.570
Cd 2.402 -3.330 11.020
Cd 2.402 -4.594 6.644
Cd 2.402 -5.617 19.418
Cd 2.402 -8.699 18.943
Sb 2.402 8.854 19.164
Sb 2.402 7.528 11.378
Sb 2.402 6.439 6.326
Sb 2.402 2.173 18.468
Sb 2.402 1.523 12.879
Sb 2.402 1.208 2.881
Sb 2.402 -1.208 13.168
Sb 2.402 -1.523 2.592
Sb 2.402 -2.173 8.180
Sb 2.402 -6.439 16.614
Sb 2.402 -7.528 1.091
Sb 2.402 -8.854 8.877
```

Most intense lines, 10 to 90 degrees two-theta, sorted by position:
two_theta, intensity
25.67, 100
25.93, 58
26.08, 47
27.56, 86
33.86, 54
37.44, 99



Record 13
# CsTl2CdSb2
Calculated powder diffractogram, Cu Kα X-rays. Input: a DFT-relaxed cell (GGA-PBE, Alexandria).
Kinematic intensities with the Lorentz-polarization factor, no thermal factor.

```
12
Lattice="5.460 0.000 0.000 0.000 8.106 0.000 0.000 0.000 9.494" Properties=species:S:1:pos:R:3 pbc="T T T"
Cs 0.000 0.931 0.000
Cs 0.000 7.175 4.747
Tl 0.000 2.713 6.187
Tl 0.000 5.392 1.440
Tl 2.730 3.639 9.052
Tl 2.730 4.467 4.305
Cd 2.730 1.337 3.299
Cd 2.730 6.769 8.046
Sb 0.000 2.875 3.144
Sb 0.000 5.231 7.891
Sb 2.730 1.226 6.518
Sb 2.730 6.880 1.771
```

Most intense lines, 10 to 90 degrees two-theta, sorted by position:
two_theta, intensity
27.22, 70
29.00, 100
30.32, 50
32.81, 49
37.13, 30
45.27, 33